Entry 1:
Diffraction record for Na2UI6. The powder diffraction line list is simulated, not measured: it uses a cell relaxed with GGA-PBE and copper Kα.

Atomic structure:
Unit cell a=8.6289 b=8.6289 c=8.6289 alpha=54.63 beta=54.63 gamma=54.63
Fractional coordinates of all 9 atoms:
Na: 0.0000 0.0000 0.0000
Na: 0.1829 0.1829 0.1829
U: 0.6826 0.6826 0.6826
I: 0.0647 0.4421 0.7760
I: 0.2992 0.9116 0.5883
I: 0.4421 0.7760 0.0647
I: 0.5883 0.2992 0.9116
I: 0.7760 0.0647 0.4421
I: 0.9116 0.5883 0.2992

Largest 6 diffraction maxima, sorted by position, 5° ≤ 2θ ≤ 70°:
13.53°, d = 6.546 Å, intensity 270; 15.23°, d = 5.816 Å, intensity 326; 25.58°, d = 3.482 Å, intensity 1000; 33.34°, d = 2.687 Å, intensity 462; 39.42°, d = 2.286 Å, intensity 331; 43.58°, d = 2.077 Å, intensity 249

Entry 2:
Diffraction record for CrAs2. The powder diffraction line list is simulated, not measured: it uses a cell relaxed with GGA-PBE and copper Kα.

Atomic structure:
Unit cell a=8.9219 b=3.2266 c=7.4264 alpha=90.00 beta=119.87 gamma=90.00
Fractional coordinates of all 12 atoms:
Cr: 0.1529 0.0000 0.1998
Cr: 0.3471 0.5000 0.8002
Cr: 0.6529 0.5000 0.1998
Cr: 0.8471 0.0000 0.8002
As: 0.0963 0.5000 0.8945
As: 0.1502 0.0000 0.5369
As: 0.3498 0.5000 0.4631
As: 0.4037 0.0000 0.1055
As: 0.5963 0.0000 0.8945
As: 0.6502 0.5000 0.5369
As: 0.8498 0.0000 0.4631
As: 0.9037 0.5000 0.1055

Largest 6 diffraction maxima, sorted by position, 5° ≤ 2θ ≤ 70°:
35.56°, d = 2.525 Å, intensity 1000; 36.37°, d = 2.470 Å, intensity 350; 36.98°, d = 2.431 Å, intensity 434; 41.44°, d = 2.179 Å, intensity 560; 46.98°, d = 1.934 Å, intensity 297; 48.47°, d = 1.878 Å, intensity 386

Entry 3:
Diffraction record for LiBeH3. The powder diffraction line list is simulated, not measured: it uses a cell relaxed with GGA-PBE and copper Kα.

Atomic structure:
Unit cell a=4.6995 b=6.1779 c=6.5120 alpha=96.64 beta=100.23 gamma=106.85
Fractional coordinates of all 20 atoms:
Li: 0.0794 0.3151 0.1635
Li: 0.2708 0.3321 0.6867
Li: 0.7292 0.6679 0.3133
Li: 0.9206 0.6849 0.8365
Be: 0.2625 0.8090 0.2406
Be: 0.4123 0.7919 0.6284
Be: 0.5877 0.2081 0.3716
Be: 0.7375 0.1910 0.7594
H: 0.0192 0.1857 0.8779
H: 0.1932 0.8042 0.4465
H: 0.2360 0.6269 0.7289
H: 0.3241 0.2603 0.4064
H: 0.3334 0.6115 0.1612
H: 0.4723 0.0066 0.7709
H: 0.5277 0.9934 0.2291
H: 0.6666 0.3885 0.8388
H: 0.6759 0.7397 0.5936
H: 0.7640 0.3731 0.2711
H: 0.8068 0.1958 0.5535
H: 0.9808 0.8143 0.1221

Largest 6 diffraction maxima, sorted by position, 5° ≤ 2θ ≤ 70°:
14.04°, d = 6.307 Å, intensity 608; 21.14°, d = 4.202 Å, intensity 658; 21.97°, d = 4.046 Å, intensity 679; 28.30°, d = 3.153 Å, intensity 797; 30.73°, d = 2.909 Å, intensity 1000; 31.03°, d = 2.882 Å, intensity 593

Entry 4:
Diffraction record for Zr2N2O. The powder diffraction line list is simulated, not measured: it uses a cell relaxed with GGA-PBE and copper Kα.

Atomic structure:
Unit cell a=8.5290 b=3.1571 c=8.6060 alpha=90.00 beta=90.30 gamma=90.00
Fractional coordinates of all 20 atoms:
Zr: 0.0000 0.0000 0.0000
Zr: 0.0007 0.5000 0.3641
Zr: 0.1871 0.0000 0.6773
Zr: 0.3222 0.0000 0.1795
Zr: 0.5018 0.5000 0.8732
Zr: 0.5088 0.0000 0.4956
Zr: 0.6818 0.5000 0.1955
Zr: 0.8301 0.5000 0.6833
N: 0.0611 0.5000 0.8070
N: 0.1346 0.5000 0.1327
N: 0.3761 0.5000 0.6417
N: 0.4441 0.5000 0.3084
N: 0.5568 0.0000 0.0591
N: 0.6978 0.5000 0.4539
N: 0.8723 0.0000 0.2248
N: 0.9482 0.0000 0.5599
O: 0.1934 0.0000 0.4114
O: 0.3174 0.0000 0.9083
O: 0.6373 0.0000 0.7329
O: 0.8040 0.5000 0.9469

Largest 6 diffraction maxima, sorted by position, 5° ≤ 2θ ≤ 70°:
29.41°, d = 3.037 Å, intensity 803; 29.57°, d = 3.021 Å, intensity 826; 30.18°, d = 2.961 Å, intensity 842; 31.97°, d = 2.800 Å, intensity 936; 36.87°, d = 2.438 Å, intensity 1000; 44.14°, d = 2.052 Å, intensity 851

Entry 5:
Diffraction record for BaLaI5. The powder diffraction line list is simulated, not measured: it uses a cell relaxed with GGA-PBE and copper Kα.

Atomic structure:
Unit cell a=8.8027 b=8.8027 c=12.1937 alpha=110.25 beta=110.25 gamma=70.86
Fractional coordinates of all 14 atoms:
Ba: 0.0491 0.9509 0.7500
Ba: 0.9509 0.0491 0.2500
La: 0.5000 0.5000 0.0000
La: 0.5000 0.5000 0.5000
I: 0.1792 0.7953 0.0310
I: 0.2047 0.8208 0.4690
I: 0.2408 0.2828 0.3764
I: 0.2828 0.2408 0.8764
I: 0.4032 0.5968 0.7500
I: 0.5968 0.4032 0.2500
I: 0.7172 0.7592 0.1236
I: 0.7592 0.7172 0.6236
I: 0.7953 0.1792 0.5310
I: 0.8208 0.2047 0.9690

Largest 6 diffraction maxima, sorted by position, 5° ≤ 2θ ≤ 70°:
13.64°, d = 6.493 Å, intensity 834; 16.94°, d = 5.234 Å, intensity 710; 27.46°, d = 3.248 Å, intensity 1000; 29.30°, d = 3.048 Å, intensity 548; 30.08°, d = 2.971 Å, intensity 749; 41.19°, d = 2.192 Å, intensity 610

Entry 6:
Diffraction record for TbSi2. The powder diffraction line list is simulated, not measured: it uses a cell relaxed with GGA-PBE and copper Kα.

Atomic structure:
Unit cell a=4.0126 b=4.0126 c=14.4778 alpha=90.00 beta=90.00 gamma=90.00
Fractional coordinates of all 12 atoms:
Tb: 0.0000 0.2500 0.3750
Tb: 0.0000 0.7500 0.6250
Tb: 0.5000 0.2500 0.1250
Tb: 0.5000 0.7500 0.8750
Si: 0.0000 0.2500 0.7923
Si: 0.0000 0.2500 0.9577
Si: 0.0000 0.7500 0.0423
Si: 0.0000 0.7500 0.2077
Si: 0.5000 0.2500 0.5423
Si: 0.5000 0.2500 0.7077
Si: 0.5000 0.7500 0.2923
Si: 0.5000 0.7500 0.4577

Largest 6 diffraction maxima, sorted by position, 5° ≤ 2θ ≤ 70°:
23.00°, d = 3.867 Å, intensity 424; 28.94°, d = 3.085 Å, intensity 536; 33.94°, d = 2.642 Å, intensity 1000; 38.33°, d = 2.348 Å, intensity 438; 45.19°, d = 2.006 Å, intensity 295; 49.59°, d = 1.838 Å, intensity 314